The following is a calculated powder XRD pattern of GdF3. It was derived from a DFT-relaxed cell (PBE, the Materials Project), using Cu Ka.
No peak broadening, texture or thermal motion is included.

Structure:
```
4
Lattice="0.0000 2.8324 2.8324 2.8324 0.0000 2.8324 2.8324 2.8324 0.0000" Properties=species:S:1:pos:R:3 pbc="T T T"
Gd 0.0000 0.0000 0.0000
F 1.4162 1.4162 1.4162
F 2.8324 2.8324 2.8324
F 4.2486 4.2486 4.2486
```

Top 9 peaks for 10 to 90 degrees two-theta, by angle:
| Position (°2θ) | Rel. int. |
| --- | --- |
| 27.27 | 100 |
| 31.59 | 52 |
| 45.28 | 94 |
| 53.66 | 49 |
| 56.25 | 14 |
| 65.96 | 14 |
| 72.77 | 20 |
| 74.98 | 19 |
| 83.63 | 28 |

=====

The following is a calculated powder XRD pattern of LiAl2Ir. It was derived from a DFT-relaxed cell (PBE, the Materials Project), using Cu Ka.
No peak broadening, texture or thermal motion is included.

Structure:
```
4
Lattice="0.0000 3.0228 3.0228 3.0228 0.0000 3.0228 3.0228 3.0228 0.0000" Properties=species:S:1:pos:R:3 pbc="T T T"
Li 0.0000 0.0000 0.0000
Al 1.5114 1.5114 1.5114
Al 4.5343 4.5343 4.5343
Ir 3.0228 3.0228 3.0228
```

Top 10 peaks for 10 to 90 degrees two-theta, by angle:
| Position (°2θ) | Rel. int. |
| --- | --- |
| 25.52 | 100 |
| 29.55 | 30 |
| 42.28 | 72 |
| 50.04 | 49 |
| 52.43 | 9 |
| 61.34 | 12 |
| 67.54 | 20 |
| 69.54 | 11 |
| 77.32 | 25 |
| 83.00 | 16 |

=====

The following is a calculated powder XRD pattern of V8N. It was derived from a DFT-relaxed cell (PBE, the Materials Project), using Cu Ka.
No peak broadening, texture or thermal motion is included.

Structure:
```
18
Lattice="8.6983 0.0000 0.0000 0.0000 8.6983 0.0000 0.0000 0.0000 2.9898" Properties=species:S:1:pos:R:3 pbc="T T T"
V 0.9794 0.9794 0.0000
V 0.9953 3.2488 1.4949
V 1.1004 5.3445 0.0000
V 1.3733 7.3251 1.4949
V 2.9759 2.9759 0.0000
V 3.2488 0.9953 1.4949
V 3.3539 7.5980 0.0000
V 3.3698 5.3286 1.4949
V 5.3286 3.3698 1.4949
V 5.3445 1.1004 0.0000
V 5.4495 7.7030 1.4949
V 5.7225 5.7225 0.0000
V 7.3251 1.3733 1.4949
V 7.5980 3.3539 0.0000
V 7.7030 5.4495 1.4949
V 7.7189 7.7189 0.0000
N 0.0000 0.0000 1.4949
N 4.3492 4.3492 0.0000
```

Top 12 peaks for 10 to 90 degrees two-theta, by angle:
| Position (°2θ) | Rel. int. |
| --- | --- |
| 37.27 | 3 |
| 41.53 | 44 |
| 42.15 | 100 |
| 42.87 | 7 |
| 48.49 | 4 |
| 60.18 | 13 |
| 61.69 | 2 |
| 62.09 | 8 |
| 73.40 | 4 |
| 76.19 | 19 |
| 77.48 | 12 |
| 80.79 | 3 |

=====

The following is a calculated powder XRD pattern of ZnC8N2Cl4. It was derived from a DFT-relaxed cell (PBE, the Materials Project), using Cu Ka.
No peak broadening, texture or thermal motion is included.

Structure:
```
60
Lattice="11.9350 0.0000 0.0000 0.0000 9.6921 0.0000 0.0000 0.0000 15.9478" Properties=species:S:1:pos:R:3 pbc="T T T"
Zn 2.9204 2.4230 1.3994
Zn 3.0471 7.2691 9.3733
Zn 8.8879 2.4230 6.5745
Zn 9.0146 7.2691 14.5483
C 0.0479 2.4230 11.3631
C 0.2910 2.4230 9.9761
C 0.7448 1.3901 9.1358
C 0.7448 3.4560 9.1358
C 1.6228 7.2691 13.7657
C 1.6572 6.5905 12.5564
C 1.6647 7.2691 0.3309
C 1.6572 7.9477 12.5564
C 4.3104 1.7444 4.5826
C 4.3028 2.4230 8.3048
C 4.3104 3.1016 4.5826
C 4.3448 2.4230 5.7918
C 5.2227 6.2361 1.1619
C 5.2227 8.3020 1.1619
C 5.6765 7.2691 2.0023
C 5.9196 7.2691 3.3892
C 6.0154 2.4230 12.5586
C 6.2586 2.4230 13.9455
C 6.7124 1.3901 14.7858
C 6.7124 3.4560 14.7858
C 7.5903 7.2691 10.1559
C 7.6247 6.5905 11.3652
C 7.6322 7.2691 7.6429
C 7.6247 7.9477 11.3652
C 10.2779 1.7444 3.3913
C 10.2703 2.4230 15.6168
C 10.2779 3.1016 3.3913
C 10.3123 2.4230 2.1821
C 11.1902 6.2361 6.8120
C 11.1902 8.3020 6.8120
C 11.6440 7.2691 5.9716
C 11.8871 7.2691 4.5847
N 0.2424 7.2691 3.4533
N 1.5794 7.2691 15.0823
N 4.3881 2.4230 7.1084
N 5.7251 2.4230 11.4272
N 6.2099 7.2691 4.5206
N 7.5469 7.2691 8.8394
N 10.3556 2.4230 0.8655
N 11.6927 2.4230 12.4944
Cl 0.4572 2.4230 7.5016
Cl 2.3631 2.4230 15.2928
Cl 2.7871 5.5489 10.8135
Cl 2.7871 8.9893 10.8135
Cl 3.1804 0.7028 2.8396
Cl 3.1804 4.1432 2.8396
Cl 3.6044 7.2691 7.3189
Cl 5.5103 7.2691 15.4755
Cl 6.4247 2.4230 0.4723
Cl 8.3306 2.4230 8.6289
Cl 8.7546 5.5489 13.1082
Cl 8.7546 8.9893 13.1082
Cl 9.1479 0.7028 5.1343
Cl 9.1479 4.1432 5.1343
Cl 9.5719 7.2691 0.6550
Cl 11.4779 7.2691 8.4462
```

Top 12 peaks for 10 to 90 degrees two-theta, by angle:
| Position (°2θ) | Rel. int. |
| --- | --- |
| 10.68 | 24 |
| 13.01 | 38 |
| 13.35 | 39 |
| 14.85 | 17 |
| 15.86 | 12 |
| 18.32 | 100 |
| 21.46 | 22 |
| 23.04 | 15 |
| 24.83 | 59 |
| 25.01 | 13 |
| 29.59 | 17 |
| 29.96 | 14 |

=====

The following is a calculated powder XRD pattern of MnC6N9. It was derived from a DFT-relaxed cell (PBE, the Materials Project), using Cu Ka.
No peak broadening, texture or thermal motion is included.

Structure:
```
32
Lattice="3.4652 -6.8125 0.0000 3.4652 6.8125 0.0000 0.0000 0.0000 11.4482" Properties=species:S:1:pos:R:3 pbc="T T T"
Mn 3.4652 3.7344 8.5861
Mn 3.4652 -3.7344 2.8620
C 1.1201 1.6895 8.5861
C 2.3429 2.0204 1.1297
C 2.3429 2.0204 4.5943
C 1.1201 -1.6895 2.8620
C 2.3429 -2.0204 6.8538
C 2.3429 -2.0204 10.3184
C 4.5875 2.0204 1.1297
C 4.5875 2.0204 4.5943
C 5.8103 1.6895 8.5861
C 4.5875 -2.0204 6.8538
C 4.5875 -2.0204 10.3184
C 5.8103 -1.6895 2.8620
N 1.2902 2.3230 1.5603
N 1.2902 2.3230 4.1638
N 3.4652 5.7740 2.8620
N 2.1672 2.2277 8.5861
N 1.2902 -2.3230 7.2844
N 1.2902 -2.3230 9.8878
N 3.4652 1.6547 0.5980
N 3.4652 1.6547 5.1261
N 2.1672 -2.2277 2.8620
N 4.7633 2.2277 8.5861
N 3.4652 -1.6547 6.3221
N 3.4652 -1.6547 10.8501
N 5.6402 2.3230 1.5603
N 5.6402 2.3230 4.1638
N 4.7633 -2.2277 2.8620
N 3.4652 -5.7740 8.5861
N 5.6402 -2.3230 7.2844
N 5.6402 -2.3230 9.8878
```

Top 12 peaks for 10 to 90 degrees two-theta, by angle:
| Position (°2θ) | Rel. int. |
| --- | --- |
| 13.00 | 100 |
| 15.48 | 55 |
| 16.31 | 44 |
| 20.26 | 22 |
| 21.16 | 27 |
| 24.69 | 58 |
| 26.16 | 14 |
| 26.78 | 59 |
| 27.32 | 17 |
| 27.47 | 32 |
| 28.19 | 11 |
| 40.34 | 13 |

=====

The following is a calculated powder XRD pattern of CdCO3. It was derived from a DFT-relaxed cell (PBE, the Materials Project), using Cu Ka.
No peak broadening, texture or thermal motion is included.

Structure:
```
40
Lattice="7.4758 0.0000 0.0000 0.0000 5.9877 0.0000 -7.0792 0.0000 12.5789" Properties=species:S:1:pos:R:3 pbc="T T T"
Cd -1.9171 1.4611 4.2454
Cd -5.4567 1.5328 10.5348
Cd 0.3157 4.3694 5.1763
Cd -3.2239 4.6121 11.4657
Cd 3.6205 1.3755 1.1132
Cd 0.0809 1.6183 7.4027
Cd 5.8533 4.4549 2.0441
Cd 2.3137 4.5266 8.3336
C 1.2435 3.4336 1.0337
C -2.2961 5.5479 7.3232
C -2.6452 0.5626 8.5144
C 0.8944 2.4312 2.2249
C -0.4979 3.5565 10.3540
C 3.0417 5.4250 4.0646
C 2.6926 0.4398 5.2558
C -0.8470 2.5541 11.5453
O 0.4208 4.3422 0.7843
O -3.1188 4.6393 7.0737
O -4.2319 3.3400 9.9962
O -0.6923 5.6415 3.7067
O -3.6672 0.2564 9.2037
O -0.1276 2.7374 2.9142
O -4.5564 0.2496 12.1196
O -1.0168 2.7442 5.8301
O 2.3277 3.2037 0.4072
O -1.2119 5.7778 6.6967
O 1.6308 1.4337 2.3929
O -1.9088 1.5601 8.6824
O 2.3054 4.4276 3.8966
O -1.2342 4.5539 10.1861
O 1.6084 0.2099 5.8822
O -1.9312 2.7840 12.1717
O 1.4134 3.2435 6.7488
O 4.9530 5.7380 0.4594
O 0.5242 3.2503 9.6647
O 4.0638 5.7312 3.3753
O 1.0889 0.3461 8.8723
O 4.6285 2.6477 2.5828
O 3.5153 1.3484 5.5052
O -0.0243 1.6454 11.7947
```

Top 12 peaks for 10 to 90 degrees two-theta, by angle:
| Position (°2θ) | Rel. int. |
| --- | --- |
| 13.97 | 77 |
| 20.41 | 60 |
| 28.32 | 100 |
| 29.84 | 21 |
| 31.26 | 17 |
| 31.96 | 54 |
| 32.15 | 15 |
| 40.94 | 20 |
| 45.54 | 16 |
| 47.88 | 19 |
| 49.14 | 26 |
| 52.03 | 17 |

=====

The following is a calculated powder XRD pattern of KPrAlBiO6. It was derived from a DFT-relaxed cell (PBE, the Materials Project), using Cu Ka.
No peak broadening, texture or thermal motion is included.

Structure:
```
10
Lattice="0.0000 4.0096 4.0096 4.0096 0.0000 4.0096 4.0096 4.0096 0.0000" Properties=species:S:1:pos:R:3 pbc="T T T"
K 0.0000 0.0000 0.0000
Pr 4.0096 4.0096 4.0096
Al 6.0144 6.0144 6.0144
Bi 2.0048 2.0048 2.0048
O 6.0144 6.0144 4.1028
O 6.0144 4.1028 6.0144
O 7.9260 6.0144 6.0144
O 4.1028 6.0144 6.0144
O 6.0144 7.9260 6.0144
O 6.0144 6.0144 7.9260
```

Top 12 peaks for 10 to 90 degrees two-theta, by angle:
| Position (°2θ) | Rel. int. |
| --- | --- |
| 19.17 | 58 |
| 31.56 | 100 |
| 37.19 | 38 |
| 45.23 | 32 |
| 49.55 | 19 |
| 56.19 | 40 |
| 59.94 | 13 |
| 65.89 | 20 |
| 69.32 | 12 |
| 74.89 | 18 |
| 83.52 | 7 |
| 86.71 | 7 |

=====

The following is a calculated powder XRD pattern of K2HgH2Cl4O. It was derived from a DFT-relaxed cell (PBE, the Materials Project), using Cu Ka.
No peak broadening, texture or thermal motion is included.

Structure:
```
40
Lattice="8.4821 0.0000 0.0000 0.0000 11.9270 0.0000 0.0000 0.0000 9.0408" Properties=species:S:1:pos:R:3 pbc="T T T"
K 0.6776 1.8498 0.0000
K 0.9092 2.3486 4.5204
K 3.3319 8.3120 4.5204
K 3.5634 7.8133 0.0000
K 4.9187 4.1137 0.0000
K 5.1503 3.6149 4.5204
K 7.5729 9.5784 4.5204
K 7.8045 10.0772 0.0000
Hg 0.0000 5.9635 2.0328
Hg 0.0000 5.9635 7.0081
Hg 4.2411 0.0000 2.0328
Hg 4.2411 0.0000 7.0081
H 0.7321 11.6568 2.7099
H 0.7321 11.6568 6.3310
H 3.5089 5.6933 2.7099
H 3.5089 5.6933 6.3310
H 4.9732 6.2336 2.7099
H 4.9732 6.2336 6.3310
H 7.7500 0.2701 2.7099
H 7.7500 0.2701 6.3310
Cl 0.9782 8.1804 2.2992
Cl 0.9782 8.1804 6.7416
Cl 1.7095 5.0580 0.0000
Cl 2.0164 11.2148 4.5204
Cl 2.2247 5.2513 4.5204
Cl 2.5316 11.0215 0.0000
Cl 3.2629 2.2169 2.2992
Cl 3.2629 2.2169 6.7416
Cl 5.2193 9.7100 2.2992
Cl 5.2193 9.7100 6.7416
Cl 5.9506 0.9054 0.0000
Cl 6.2574 6.6757 4.5204
Cl 6.4658 0.7122 4.5204
Cl 6.7727 6.8689 0.0000
Cl 7.5039 3.7466 2.2992
Cl 7.5039 3.7466 6.7416
O 0.0000 0.0000 2.1047
O 0.0000 0.0000 6.9361
O 4.2411 5.9635 2.1047
O 4.2411 5.9635 6.9361
```

Top 12 peaks for 10 to 90 degrees two-theta, by angle:
| Position (°2θ) | Rel. int. |
| --- | --- |
| 12.81 | 100 |
| 14.86 | 34 |
| 20.95 | 20 |
| 23.52 | 79 |
| 24.72 | 45 |
| 28.87 | 33 |
| 29.84 | 19 |
| 32.60 | 60 |
| 39.89 | 17 |
| 42.08 | 25 |
| 44.12 | 16 |
| 44.24 | 23 |

=====

The following is a calculated powder XRD pattern of TeMo2S3. It was derived from a DFT-relaxed cell (PBE, the Materials Project), using Cu Ka.
No peak broadening, texture or thermal motion is included.

Structure:
```
6
Lattice="3.2779 0.0000 0.0000 -1.6390 2.8388 0.0000 0.0000 0.0000 13.6790" Properties=species:S:1:pos:R:3 pbc="T T T"
Te 0.0000 0.0000 0.0000
Mo 0.0000 0.0000 8.6151
Mo 0.0000 1.8925 1.9565
S 0.0000 0.0000 3.4674
S 0.0000 1.8925 7.0750
S 0.0000 1.8925 10.1532
```

Top 12 peaks for 10 to 90 degrees two-theta, by angle:
| Position (°2θ) | Rel. int. |
| --- | --- |
| 12.94 | 100 |
| 31.52 | 40 |
| 32.20 | 10 |
| 34.20 | 25 |
| 37.31 | 95 |
| 46.08 | 50 |
| 56.12 | 25 |
| 57.85 | 12 |
| 63.52 | 11 |
| 69.34 | 15 |
| 75.45 | 11 |
| 81.32 | 14 |